(1)
Calculated powder diffraction line list of Rb2NaTaI6 for Cu Kα (λ = 1.5418 Å), from DFT lattice parameters and positions (PBE).
Kinematic intensities with the Lorentz-polarization factor, no thermal factor.

Most intense lines, 2θ from 10° to 90°, most intense first:
| 2θ/deg | d (Å) | intensity |
| --- | --- | --- |
| 29.9 | 2.991 | 1000 |
| 25.8 | 3.454 | 801 |
| 42.7 | 2.115 | 726 |
| 12.8 | 6.908 | 349 |
| 14.8 | 5.983 | 345 |
| 50.6 | 1.804 | 339 |
| 70.4 | 1.338 | 306 |
| 53.0 | 1.727 | 250 |
| 78.3 | 1.221 | 223 |
| 33.5 | 2.676 | 173 |

Atomic structure:
```
Rb2NaTaI6
1.0
0.0000 5.9827 5.9827
5.9827 0.0000 5.9827
5.9827 5.9827 0.0000
Rb Na Ta I
2 1 1 6
Cartesian
2.9914 2.9914 2.9914 Rb
8.9741 8.9741 8.9741 Rb
0.0000 0.0000 0.0000 Na
5.9827 5.9827 5.9827 Ta
5.9827 5.9827 3.1419 I
5.9827 3.1419 5.9827 I
8.8235 5.9827 5.9827 I
3.1419 5.9827 5.9827 I
5.9827 8.8235 5.9827 I
5.9827 5.9827 8.8235 I
```

(2)
Calculated powder diffraction line list of Rb2NaTlI6 for Cu Kα (λ = 1.5418 Å), from DFT lattice parameters and positions (PBE).
Kinematic intensities with the Lorentz-polarization factor, no thermal factor.

Most intense lines, 2θ from 10° to 90°, most intense first:
| 2θ/deg | d (Å) | intensity |
| --- | --- | --- |
| 29.0 | 3.081 | 1000 |
| 41.4 | 2.179 | 749 |
| 25.0 | 3.558 | 730 |
| 14.4 | 6.162 | 362 |
| 68.0 | 1.378 | 338 |
| 49.0 | 1.858 | 333 |
| 12.4 | 7.115 | 273 |
| 51.4 | 1.779 | 265 |
| 75.6 | 1.258 | 250 |
| 32.5 | 2.756 | 201 |

Atomic structure:
```
Rb2NaTlI6
1.0
0.0000 6.1619 6.1619
6.1619 0.0000 6.1619
6.1619 6.1619 0.0000
Rb Na Tl I
2 1 1 6
Cartesian
3.0809 3.0809 3.0809 Rb
9.2428 9.2428 9.2428 Rb
0.0000 0.0000 0.0000 Na
6.1619 6.1619 6.1619 Tl
6.1619 6.1619 3.1402 I
6.1619 3.1402 6.1619 I
9.1836 6.1619 6.1619 I
3.1402 6.1619 6.1619 I
6.1619 9.1836 6.1619 I
6.1619 6.1619 9.1836 I
```

(3)
Calculated powder diffraction line list of Rb2NaYI6 for Cu Kα (λ = 1.5418 Å), from DFT lattice parameters and positions (PBE).
Kinematic intensities with the Lorentz-polarization factor, no thermal factor.

Most intense lines, 2θ from 10° to 90°, most intense first:
| 2θ/deg | d (Å) | intensity |
| --- | --- | --- |
| 25.0 | 3.560 | 1000 |
| 29.0 | 3.083 | 852 |
| 41.4 | 2.180 | 633 |
| 49.0 | 1.859 | 466 |
| 68.0 | 1.379 | 282 |
| 51.3 | 1.780 | 222 |
| 75.6 | 1.259 | 208 |
| 66.1 | 1.414 | 188 |
| 14.4 | 6.165 | 162 |
| 81.0 | 1.187 | 143 |

Atomic structure:
```
Rb2NaYI6
1.0
0.0000 6.1654 6.1654
6.1654 0.0000 6.1654
6.1654 6.1654 0.0000
Rb Na Y I
2 1 1 6
Cartesian
3.0827 3.0827 3.0827 Rb
9.2480 9.2480 9.2480 Rb
0.0000 0.0000 0.0000 Na
6.1654 6.1654 6.1654 Y
6.1654 6.1654 3.1439 I
6.1654 3.1439 6.1654 I
9.1869 6.1654 6.1654 I
3.1439 6.1654 6.1654 I
6.1654 9.1869 6.1654 I
6.1654 6.1654 9.1869 I
```